The following is a calculated X-ray powder pattern of Pm5AlHg3. It was derived from a DFT-relaxed cell (GGA-PBE, Alexandria), using Cu Kα X-rays.
Intensities are scaled so that the largest is 100.

Cell and atoms:
a b c (Å): 9.368 9.368 6.688
angles (deg): 90.00 90.00 120.00
Element x y z (fractional)
Pm  0.000  0.282  0.250
Pm  0.000  0.718  0.750
Pm  0.282  0.000  0.250
Pm  0.282  0.282  0.750
Pm  0.333  0.667  0.000
Pm  0.333  0.667  0.500
Pm  0.667  0.333  0.000
Pm  0.667  0.333  0.500
Pm  0.718  0.000  0.750
Pm  0.718  0.718  0.250
Al  0.000  0.000  0.000
Al  0.000  0.000  0.500
Hg  0.000  0.377  0.750
Hg  0.000  0.623  0.250
Hg  0.377  0.000  0.750
Hg  0.377  0.377  0.250
Hg  0.623  0.000  0.250
Hg  0.623  0.623  0.750

Main lines, by angle (2θ from 10° to 80°):
2θ/deg	Rel. int.
26.66	23
32.11	58
32.91	100
33.13	95
42.38	23
47.39	26
59.04	19
65.63	40